Starting from a cell relaxed with PBE, the powder X-ray diffraction pattern of LiOsRu2 was calculated for copper Kα.
Kinematic intensities with the Lorentz-polarization factor, no thermal factor.

Most intense lines, 2θ from 10° to 80°, in order of falling intensity:
two_theta	I/Imax
40.55	100
42.27	86
49.06	56
22.74	46
69.86	38
17.36	37
46.44	34
28.75	32
33.12	18
69.51	18

```
LiOsRu2
1.0
2.705 0.000 0.000
0.000 3.910 0.000
0.000 0.000 5.108
Li Os Ru
1 1 2
direct
0.000 0.000 0.000 Li
0.500 0.500 0.253 Os
0.000 0.000 0.496 Ru
0.500 0.500 0.783 Ru
```

Starting from a cell relaxed with PBE, the powder X-ray diffraction pattern of LiSc2Os was calculated for copper Kα.
Kinematic intensities with the Lorentz-polarization factor, no thermal factor.

Most intense lines, 2θ from 10° to 80°, in order of falling intensity:
two_theta	I/Imax
18.76	100
36.96	79
19.87	77
40.50	65
33.61	51
28.90	41
38.05	37
39.07	31
22.90	30
39.72	25

```
LiSc2Os
1.0
4.960 -1.634 0.000
4.960 1.634 0.000
-1.408 0.000 4.468
Li Sc Os
1 2 1
direct
0.000 0.000 0.000 Li
0.555 0.555 0.564 Sc
0.769 0.769 0.206 Sc
0.283 0.283 0.700 Os
```

Starting from a cell relaxed with PBE, the powder X-ray diffraction pattern of LiSmZrOs was calculated for copper Kα.
Kinematic intensities with the Lorentz-polarization factor, no thermal factor.

Most intense lines, 2θ from 10° to 80°, in order of falling intensity:
two_theta	I/Imax
37.23	100
22.55	45
67.13	36
43.96	24
53.67	17
79.35	11
58.94	10
71.81	8
26.09	2
60.63	1

```
LiSmZrOs
1.0
0.000 3.415 3.415
3.415 0.000 3.415
3.415 3.415 0.000
Li Sm Zr Os
1 1 1 1
direct
0.000 0.000 0.000 Li
0.250 0.250 0.250 Sm
0.750 0.750 0.750 Zr
0.500 0.500 0.500 Os
```

What did the first record say?
Starting from a cell relaxed with PBE, the powder X-ray diffraction pattern of LiOsRu2 was calculated for copper Kα.
Kinematic intensities with the Lorentz-polarization factor, no thermal factor.

Most intense lines, 2θ from 10° to 80°, in order of falling intensity:
two_theta	I/Imax
40.55	100
42.27	86
49.06	56
22.74	46
69.86	38
17.36	37
46.44	34
28.75	32
33.12	18
69.51	18

```
LiOsRu2
1.0
2.705 0.000 0.000
0.000 3.910 0.000
0.000 0.000 5.108
Li Os Ru
1 1 2
direct
0.000 0.000 0.000 Li
0.500 0.500 0.253 Os
0.000 0.000 0.496 Ru
0.500 0.500 0.783 Ru
```